Computed powder X-ray diffraction pattern
Compound: Hf3Ni7
Radiation: Cu Kα (weighted mean of Kα1 and Kα2)
Structure: DFT lattice parameters and positions (GGA-PBE)

Atomic structure:
a = 6.5039 Å, b = 6.5726 Å, c = 7.6144 Å
α = 102.78°, β = 104.58°, γ = 112.62°
Fractional coordinates of all 20 atoms:
1 Hf 0.0004 0.2273 0.3688
2 Hf 0.9996 0.7727 0.6312
3 Hf 0.3423 0.4743 0.1247
4 Hf 0.4009 0.0447 0.2781
5 Hf 0.5991 0.9553 0.7219
6 Hf 0.6577 0.5257 0.8753
7 Ni 0.0000 0.0000 0.0000
8 Ni 0.0547 0.1999 0.7652
9 Ni 0.1175 0.6760 0.9567
10 Ni 0.2217 0.6729 0.3925
11 Ni 0.2712 0.5633 0.7151
12 Ni 0.3192 0.1406 0.5940
13 Ni 0.3936 0.1164 0.9406
14 Ni 0.5000 0.5000 0.5000
15 Ni 0.6064 0.8836 0.0594
16 Ni 0.6808 0.8594 0.4060
17 Ni 0.7288 0.4367 0.2849
18 Ni 0.7783 0.3271 0.6075
19 Ni 0.8825 0.3240 0.0433
20 Ni 0.9453 0.8001 0.2348

Peak list (10 most intense, 10° ≤ 2θ ≤ 90°, sorted by position)
- 2θ 29.78, rel. 21.7
- 2θ 32.98, rel. 35.6
- 2θ 35.79, rel. 20.7
- 2θ 41.97, rel. 56.7
- 2θ 42.36, rel. 67.6
- 2θ 43.10, rel. 56.3
- 2θ 44.07, rel. 100.0
- 2θ 44.14, rel. 45.4
- 2θ 45.61, rel. 15.8
- 2θ 48.14, rel. 17.4

***

Computed powder X-ray diffraction pattern
Compound: HfNi4P2
Radiation: Cu Kα (weighted mean of Kα1 and Kα2)
Structure: DFT lattice parameters and positions (GGA-PBE)

Atomic structure:
a = 6.9247 Å, b = 6.9247 Å, c = 3.5530 Å
α = 90.00°, β = 90.00°, γ = 90.00°
Fractional coordinates of all 14 atoms:
1 Hf 0.0000 0.0000 0.0000
2 Hf 0.5000 0.5000 0.5000
3 Ni 0.0852 0.3334 0.5000
4 Ni 0.1666 0.5852 0.0000
5 Ni 0.3334 0.0852 0.5000
6 Ni 0.4148 0.8334 0.0000
7 Ni 0.5852 0.1666 0.0000
8 Ni 0.6666 0.9148 0.5000
9 Ni 0.8334 0.4148 0.0000
10 Ni 0.9148 0.6666 0.5000
11 P 0.2176 0.7824 0.5000
12 P 0.2824 0.2824 0.0000
13 P 0.7176 0.7176 0.0000
14 P 0.7824 0.2176 0.5000

Peak list (10 most intense, 10° ≤ 2θ ≤ 90°, sorted by position)
- 2θ 25.73, rel. 12.4
- 2θ 28.23, rel. 20.1
- 2θ 38.57, rel. 100.0
- 2θ 41.23, rel. 44.2
- 2θ 44.97, rel. 18.1
- 2θ 48.86, rel. 16.8
- 2θ 51.44, rel. 17.3
- 2θ 61.02, rel. 12.4
- 2θ 67.95, rel. 19.4
- 2θ 73.37, rel. 22.9

***

Computed powder X-ray diffraction pattern
Compound: HfNiP
Radiation: Cu Kα (weighted mean of Kα1 and Kα2)
Structure: DFT lattice parameters and positions (GGA-PBE)

Atomic structure:
a = 6.3185 Å, b = 3.7015 Å, c = 7.1487 Å
α = 90.00°, β = 90.00°, γ = 90.00°
Fractional coordinates of all 12 atoms:
1 Hf 0.0230 0.2500 0.1831
2 Hf 0.4770 0.7500 0.6831
3 Hf 0.5230 0.2500 0.3169
4 Hf 0.9770 0.7500 0.8169
5 Ni 0.1531 0.2500 0.5650
6 Ni 0.3469 0.7500 0.0650
7 Ni 0.6531 0.2500 0.9350
8 Ni 0.8469 0.7500 0.4350
9 P 0.2249 0.7500 0.3854
10 P 0.2751 0.2500 0.8854
11 P 0.7249 0.7500 0.1146
12 P 0.7751 0.2500 0.6146

Peak list (10 most intense, 10° ≤ 2θ ≤ 90°, sorted by position)
- 2θ 27.13, rel. 52.3
- 2θ 28.25, rel. 24.6
- 2θ 37.77, rel. 89.9
- 2θ 38.01, rel. 29.3
- 2θ 39.57, rel. 100.0
- 2θ 40.46, rel. 44.0
- 2θ 45.26, rel. 19.9
- 2θ 49.23, rel. 29.4
- 2θ 65.56, rel. 34.5
- 2θ 74.15, rel. 23.6

***

Computed powder X-ray diffraction pattern
Compound: Hf9Re4Ni
Radiation: Cu Kα (weighted mean of Kα1 and Kα2)
Structure: DFT lattice parameters and positions (GGA-PBE)

Atomic structure:
a = 8.5991 Å, b = 8.5991 Å, c = 8.4328 Å
α = 90.00°, β = 90.00°, γ = 120.00°
Fractional coordinates of all 28 atoms:
1 Hf 0.0806 0.5403 0.2500
2 Hf 0.1983 0.3965 0.5549
3 Hf 0.1983 0.3965 0.9451
4 Hf 0.1983 0.8017 0.5549
5 Hf 0.1983 0.8017 0.9451
6 Hf 0.3965 0.1983 0.0549
7 Hf 0.3965 0.1983 0.4451
8 Hf 0.4597 0.5403 0.2500
9 Hf 0.4597 0.9194 0.2500
10 Hf 0.5403 0.0806 0.7500
11 Hf 0.5403 0.4597 0.7500
12 Hf 0.6035 0.8017 0.5549
13 Hf 0.6035 0.8017 0.9451
14 Hf 0.8017 0.1983 0.0549
15 Hf 0.8017 0.1983 0.4451
16 Hf 0.8017 0.6035 0.0549
17 Hf 0.8017 0.6035 0.4451
18 Hf 0.9194 0.4597 0.7500
19 Re 0.0000 0.0000 0.0000
20 Re 0.0000 0.0000 0.5000
21 Re 0.1106 0.2213 0.2500
22 Re 0.1106 0.8894 0.2500
23 Re 0.2213 0.1106 0.7500
24 Re 0.7787 0.8894 0.2500
25 Re 0.8894 0.1106 0.7500
26 Re 0.8894 0.7787 0.7500
27 Ni 0.3333 0.6667 0.7500
28 Ni 0.6667 0.3333 0.2500

Peak list (10 most intense, 10° ≤ 2θ ≤ 90°, sorted by position)
- 2θ 11.88, rel. 21.3
- 2θ 34.09, rel. 22.7
- 2θ 37.78, rel. 70.9
- 2θ 38.45, rel. 100.0
- 2θ 40.20, rel. 45.1
- 2θ 42.03, rel. 22.4
- 2θ 63.75, rel. 24.8
- 2θ 65.08, rel. 16.4
- 2θ 66.58, rel. 26.8
- 2θ 67.09, rel. 26.7

***

Computed powder X-ray diffraction pattern
Compound: Hf3NiSb7
Radiation: Cu Kα (weighted mean of Kα1 and Kα2)
Structure: DFT lattice parameters and positions (GGA-PBE)

Atomic structure:
a = 17.5015 Å, b = 3.9523 Å, c = 14.5453 Å
α = 90.00°, β = 90.00°, γ = 90.00°
Fractional coordinates of all 44 atoms:
1 Hf 0.1071 0.2500 0.0903
2 Hf 0.1294 0.2500 0.5284
3 Hf 0.1530 0.2500 0.8097
4 Hf 0.3470 0.7500 0.3097
5 Hf 0.3706 0.7500 0.0284
6 Hf 0.3929 0.7500 0.5903
7 Hf 0.6071 0.2500 0.4097
8 Hf 0.6294 0.2500 0.9716
9 Hf 0.6530 0.2500 0.6903
10 Hf 0.8470 0.7500 0.1903
11 Hf 0.8706 0.7500 0.4716
12 Hf 0.8929 0.7500 0.9097
13 Ni 0.0631 0.2500 0.3108
14 Ni 0.4369 0.7500 0.8108
15 Ni 0.5631 0.2500 0.1892
16 Ni 0.9369 0.7500 0.6892
17 Sb 0.0216 0.7500 0.2019
18 Sb 0.0376 0.7500 0.4242
19 Sb 0.0714 0.7500 0.9399
20 Sb 0.0928 0.7500 0.6749
21 Sb 0.2104 0.2500 0.3161
22 Sb 0.2283 0.7500 0.1458
23 Sb 0.2486 0.7500 0.4789
24 Sb 0.2514 0.2500 0.9789
25 Sb 0.2717 0.2500 0.6458
26 Sb 0.2896 0.7500 0.8161
27 Sb 0.4072 0.2500 0.1749
28 Sb 0.4286 0.2500 0.4399
29 Sb 0.4624 0.2500 0.9242
30 Sb 0.4784 0.2500 0.7019
31 Sb 0.5216 0.7500 0.2981
32 Sb 0.5376 0.7500 0.0758
33 Sb 0.5714 0.7500 0.5601
34 Sb 0.5928 0.7500 0.8251
35 Sb 0.7104 0.2500 0.1839
36 Sb 0.7283 0.7500 0.3542
37 Sb 0.7486 0.7500 0.0211
38 Sb 0.7514 0.2500 0.5211
39 Sb 0.7717 0.2500 0.8542
40 Sb 0.7896 0.7500 0.6839
41 Sb 0.9072 0.2500 0.3251
42 Sb 0.9286 0.2500 0.0601
43 Sb 0.9624 0.2500 0.5758
44 Sb 0.9784 0.2500 0.7981

Peak list (10 most intense, 10° ≤ 2θ ≤ 90°, sorted by position)
- 2θ 30.48, rel. 15.4
- 2θ 31.28, rel. 16.5
- 2θ 33.03, rel. 44.8
- 2θ 33.89, rel. 100.0
- 2θ 35.60, rel. 24.1
- 2θ 38.36, rel. 16.9
- 2θ 38.87, rel. 17.4
- 2θ 39.07, rel. 34.8
- 2θ 40.35, rel. 17.7
- 2θ 45.92, rel. 33.5

***

Computed powder X-ray diffraction pattern
Compound: Hf6NiSb2
Radiation: Cu Kα (weighted mean of Kα1 and Kα2)
Structure: DFT lattice parameters and positions (GGA-PBE)

Atomic structure:
a = 7.7190 Å, b = 7.7190 Å, c = 3.6192 Å
α = 90.00°, β = 90.00°, γ = 120.00°
Fractional coordinates of all 9 atoms:
1 Hf 0.0000 0.3978 0.0000
2 Hf 0.0000 0.7596 0.5000
3 Hf 0.2404 0.2404 0.5000
4 Hf 0.3978 0.0000 0.0000
5 Hf 0.6022 0.6022 0.0000
6 Hf 0.7596 0.0000 0.5000
7 Ni 0.0000 0.0000 0.0000
8 Sb 0.3333 0.6667 0.5000
9 Sb 0.6667 0.3333 0.5000

Peak list (10 most intense, 10° ≤ 2θ ≤ 90°, sorted by position)
- 2θ 33.96, rel. 100.0
- 2θ 35.53, rel. 68.1
- 2θ 36.60, rel. 58.1
- 2θ 40.48, rel. 28.0
- 2θ 43.69, rel. 25.2
- 2θ 50.43, rel. 17.9
- 2θ 55.70, rel. 18.0
- 2θ 63.20, rel. 26.0
- 2θ 66.18, rel. 24.9
- 2θ 66.57, rel. 12.8

***

Computed powder X-ray diffraction pattern
Compound: Hf2Si4Ni3
Radiation: Cu Kα (weighted mean of Kα1 and Kα2)
Structure: DFT lattice parameters and positions (GGA-PBE)

Atomic structure:
a = 7.3112 Å, b = 7.3112 Å, c = 6.8799 Å
α = 90.00°, β = 90.00°, γ = 138.47°
Fractional coordinates of all 18 atoms:
1 Hf 0.1039 0.8961 0.9024
2 Hf 0.3961 0.6039 0.4024
3 Hf 0.6039 0.3961 0.5976
4 Hf 0.8961 0.1039 0.0976
5 Si 0.1812 0.8188 0.5228
6 Si 0.1886 0.3114 0.7500
7 Si 0.3114 0.1886 0.2500
8 Si 0.3188 0.6812 0.0228
9 Si 0.6812 0.3188 0.9772
10 Si 0.6886 0.8114 0.7500
11 Si 0.8114 0.6886 0.2500
12 Si 0.8188 0.1812 0.4772
13 Ni 0.0000 0.0000 0.5000
14 Ni 0.0208 0.4792 0.7500
15 Ni 0.4792 0.0208 0.2500
16 Ni 0.5000 0.5000 0.0000
17 Ni 0.5208 0.9792 0.7500
18 Ni 0.9792 0.5208 0.2500

Peak list (10 most intense, 10° ≤ 2θ ≤ 90°, sorted by position)
- 2θ 18.30, rel. 22.6
- 2θ 22.44, rel. 34.1
- 2θ 29.10, rel. 23.9
- 2θ 31.90, rel. 26.4
- 2θ 37.06, rel. 66.6
- 2θ 39.47, rel. 100.0
- 2θ 41.53, rel. 32.5
- 2θ 43.71, rel. 36.9
- 2θ 43.83, rel. 20.8
- 2θ 60.24, rel. 18.8

***

Computed powder X-ray diffraction pattern
Compound: Hf2SiNi3
Radiation: Cu Kα (weighted mean of Kα1 and Kα2)
Structure: DFT lattice parameters and positions (GGA-PBE)

Atomic structure:
a = 4.9922 Å, b = 4.9922 Å, c = 7.7782 Å
α = 90.00°, β = 90.00°, γ = 120.00°
Fractional coordinates of all 12 atoms:
1 Hf 0.3333 0.6667 0.0545
2 Hf 0.3333 0.6667 0.4455
3 Hf 0.6667 0.3333 0.5545
4 Hf 0.6667 0.3333 0.9455
5 Si 0.0000 0.0000 0.0000
6 Si 0.0000 0.0000 0.5000
7 Ni 0.1672 0.3344 0.7500
8 Ni 0.1672 0.8328 0.7500
9 Ni 0.3344 0.1672 0.2500
10 Ni 0.6656 0.8328 0.7500
11 Ni 0.8328 0.1672 0.2500
12 Ni 0.8328 0.6656 0.2500

Peak list (10 most intense, 10° ≤ 2θ ≤ 90°, sorted by position)
- 2θ 20.54, rel. 31.7
- 2θ 30.93, rel. 35.6
- 2θ 35.98, rel. 61.0
- 2θ 40.57, rel. 89.2
- 2θ 41.79, rel. 24.5
- 2θ 43.06, rel. 100.0
- 2θ 43.45, rel. 53.2
- 2θ 67.79, rel. 38.5
- 2θ 69.57, rel. 23.8
- 2θ 75.26, rel. 30.7